Diffraction record for TaCl4. The powder X-ray diffraction pattern is calculated, not measured: it uses a crystal structure in the Materials Project, relaxed with GGA-PBE and Cu Kα X-rays.
Neutral-atom scattering factors, no anomalous dispersion.

Largest 6 diffraction maxima, in order of rising 2θ, 2θ = 10–80°:
hkl 0 0 1, 2θ 13.28, intensity 100
hkl 2 0 -1, 2θ 13.62, intensity 94
hkl 2 0 0, 2θ 17.72, intensity 52
hkl 2 0 -2, 2θ 20.34, intensity 28
hkl 2 2 0, 2θ 31.73, intensity 67
hkl 4 2 -1, 2θ 39.29, intensity 21

Structure:
abc: 13.124 6.836 8.737
angles: 90.00 130.27 90.00
Space group C2/m (No. 12)
Symmetry-distinct sites (fractional):
Ta1 0.000 0.219 0.000 [4 per cell]
Cl1 0.020 0.244 0.283 [8 per cell]
Cl2 0.166 0.500 0.144 [4 per cell]
Cl3 0.192 0.000 0.167 [4 per cell]


Diffraction record for TaCl3. The powder X-ray diffraction pattern is calculated, not measured: it uses a crystal structure in the Materials Project, relaxed with GGA-PBE and Cu Kα X-rays.
Neutral-atom scattering factors, no anomalous dispersion.

Largest 6 diffraction maxima, in order of rising 2θ, 2θ = 10–80°:
hkl 2 2 0, 2θ 12.46, intensity 100
hkl 3 1 1, 2θ 14.62, intensity 35
hkl 7 1 1, 2θ 31.80, intensity 39
hkl 6 4 2, 2θ 33.36, intensity 51
hkl 8 0 0, 2θ 35.74, intensity 50
hkl 9 1 1, 2θ 40.91, intensity 61

Structure:
abc: 20.097 20.097 20.097
angles: 90.00 90.00 90.00
Space group Fd-3m (No. 227, origin choice 2)
Symmetry-distinct sites (fractional):
Ta1 0.016 0.125 0.125 [48 per cell]
Cl1 0.004 0.004 0.125 [96 per cell]
Cl2 0.103 0.375 0.375 [48 per cell]


Diffraction record for Ta3Tl2Cl9. The powder X-ray diffraction pattern is calculated, not measured: it uses a crystal structure in the Materials Project, relaxed with GGA-PBE and Cu Kα X-rays.
Neutral-atom scattering factors, no anomalous dispersion.

Largest 6 diffraction maxima, in order of rising 2θ, 2θ = 10–80°:
hkl 1 1 0, 2θ 10.69, intensity 66
hkl 1 1 -1, 2θ 11.56, intensity 100
hkl 0 2 1, 2θ 14.47, intensity 64
hkl 1 3 0, 2θ 18.27, intensity 64
hkl 1 3 -2, 2θ 24.03, intensity 53
hkl 2 4 1, 2θ 32.72, intensity 52

Structure:
abc: 10.514 16.956 9.809
angles: 90.00 115.60 90.00
Space group C2/m (No. 12)
Symmetry-distinct sites (fractional):
Ta1 0.113 0.000 0.373 [4 per cell]
Ta2 0.131 0.085 0.638 [8 per cell]
Tl1 0.111 0.341 0.829 [8 per cell]
Cl1 0.000 0.204 0.500 [4 per cell]
Cl2 0.021 0.103 0.814 [8 per cell]
Cl3 0.187 0.500 0.173 [4 per cell]
Cl4 0.199 0.305 0.182 [8 per cell]
Cl5 0.210 0.398 0.486 [8 per cell]
Cl6 0.243 0.500 0.785 [4 per cell]


Diffraction record for TbCl3. The powder X-ray diffraction pattern is calculated, not measured: it uses a crystal structure in the Materials Project, relaxed with GGA-PBE and Cu Kα X-rays.
Neutral-atom scattering factors, no anomalous dispersion.

Largest 6 diffraction maxima, in order of rising 2θ, 2θ = 10–80°:
hkl 0 2 0, 2θ 13.38, intensity 100
hkl 0 0 2, 2θ 20.71, intensity 25
hkl 1 1 1, 2θ 26.40, intensity 31
hkl 1 3 1, 2θ 32.71, intensity 58
hkl 0 4 2, 2θ 34.20, intensity 25
hkl 1 1 3, 2θ 39.96, intensity 33

Structure:
abc: 3.823 13.233 8.579
angles: 90.00 90.00 90.00
Space group Cmcm (No. 63)
Symmetry-distinct sites (fractional):
Tb1 0.000 0.241 0.250 [4 per cell]
Cl1 0.000 0.158 0.568 [8 per cell]
Cl2 0.000 0.400 0.750 [4 per cell]


Diffraction record for TbCl. The powder X-ray diffraction pattern is calculated, not measured: it uses a crystal structure in the Materials Project, relaxed with GGA-PBE and Cu Kα X-rays.
Neutral-atom scattering factors, no anomalous dispersion.

Largest 6 diffraction maxima, in order of rising 2θ, 2θ = 10–80°:
hkl 1 0 1, 2θ 27.58, intensity 27
hkl 1 0 4, 2θ 30.14, intensity 100
hkl 0 1 5, 2θ 31.59, intensity 24
hkl 0 1 8, 2θ 37.27, intensity 47
hkl 1 1 0, 2θ 48.44, intensity 27
hkl 2 1 4, 2θ 78.95, intensity 17

Structure:
abc: 3.7584 3.7584 28.7530
angles: 90.00 90.00 120.00
Space group R-3m (No. 166, hexagonal axes)
Symmetry-distinct sites (fractional):
Tb1 0.0000 0.0000 0.1177 [6 per cell]
Cl1 0.0000 0.0000 0.3902 [6 per cell]


Diffraction record for TbCl3. The powder X-ray diffraction pattern is calculated, not measured: it uses a crystal structure in the Materials Project, relaxed with GGA-PBE and Cu Kα X-rays.
Neutral-atom scattering factors, no anomalous dispersion.

Largest 6 diffraction maxima, in order of rising 2θ, 2θ = 10–80°:
hkl 1 0 1, 2θ 15.53, intensity 71
hkl 1 1 0, 2θ 19.22, intensity 100
hkl 1 0 3, 2θ 26.56, intensity 49
hkl 2 1 3, 2θ 38.46, intensity 80
hkl 2 2 0, 2θ 39.01, intensity 31
hkl 3 0 3, 2θ 47.81, intensity 36

Structure:
abc: 6.531 6.531 11.735
angles: 90.00 90.00 90.00
Space group P4_2/mnm (No. 136)
Symmetry-distinct sites (fractional):
Tb1 0.000 0.000 0.173 [4 per cell]
Cl1 0.187 0.187 0.000 [4 per cell]
Cl2 0.210 0.210 0.329 [8 per cell]


Number 2 is which compound?
TaCl3


Number 5 is which compound?
TbCl